No. 1
Structure and calculated X-ray diffraction stick pattern of CeTiAs2O (a GGA-PBE-relaxed structure; CuKα).
Lines closer than 0.1° are merged.

Structural model:
Cell: 3.7787 3.7787 13.0264 Å, 90.00 90.00 90.00°
Space group P4/nmm (No. 129, origin choice 2)
One atom of each set of equivalent atoms:
1 Ce 0.2500 0.2500 0.1018 x2
2 Ti 0.2500 0.2500 0.5898 x2
3 As 0.2500 0.2500 0.3886 x2
4 As 0.2500 0.2500 0.7831 x2
5 O 0.2500 0.7500 0.0000 x2

Principal peaks in the range 2θ from 10° to 80°, low angle first:
- 2θ 27.3, I 15, hkl 1 0 2
- 2θ 27.4, I 18, hkl 0 0 4
- 2θ 31.4, I 100, hkl 1 0 3
- 2θ 33.5, I 97, hkl 1 1 0
- 2θ 36.4, I 31, hkl 1 0 4
- 2θ 43.8, I 29, hkl 1 1 4
- 2θ 48.2, I 42, hkl 2 0 0
- 2θ 54.5, I 24, hkl 1 1 6
- 2θ 55.0, I 13, hkl 1 0 7
- 2θ 56.3, I 13, hkl 2 0 4
- 2θ 58.6, I 34, hkl 2 1 3
- 2θ 70.5, I 13, hkl 2 2 0

No. 2
Structure and calculated X-ray diffraction stick pattern of Nb3B4 (a GGA-PBE-relaxed structure; CuKα).
Lines closer than 0.1° are merged.

Structural model:
Cell: 3.1595 3.3231 14.1494 Å, 90.00 90.00 90.00°
Space group Immm (No. 71)
One atom of each set of equivalent atoms:
1 Nb 0.0000 0.0000 0.0000 x2
2 Nb 0.0000 0.5000 0.3152 x4
3 B 0.0000 0.0000 0.4358 x4
4 B 0.0000 0.5000 0.1323 x4

Principal peaks in the range 2θ from 10° to 80°, low angle first:
- 2θ 27.6, I 55, hkl 0 1 1
- 2θ 34.2, I 100, hkl 1 0 3
- 2θ 38.2, I 31, hkl 0 0 6
- 2θ 41.4, I 99, hkl 1 1 2
- 2θ 41.9, I 66, hkl 0 1 5
- 2θ 47.3, I 18, hkl 1 1 4
- 2θ 53.8, I 12, hkl 1 0 7
- 2θ 55.3, I 18, hkl 0 2 0
- 2θ 58.4, I 15, hkl 2 0 0
- 2θ 66.6, I 28, hkl 1 2 3
- 2θ 66.8, I 28, hkl 1 1 8
- 2θ 74.5, I 23, hkl 2 1 5

No. 3
Structure and calculated X-ray diffraction stick pattern of ThZn11Ag (a GGA-PBE-relaxed structure; CuKα).
Lines closer than 0.1° are merged.

Structural model:
Cell: 5.3280 12.7066 6.8809 Å, 90.00 112.62 90.00°
Space group C2/m (No. 12)
One atom of each set of equivalent atoms:
1 Th 0.0000 0.0000 0.0000 x2
2 Zn 0.0000 0.5000 0.5000 x2
3 Zn 0.1026 0.3892 0.2163 x8
4 Zn 0.1796 0.1791 0.3539 x8
5 Zn 0.2500 0.2500 0.0000 x4
6 Ag 0.0000 0.0000 0.5000 x2

Principal peaks in the range 2θ from 10° to 80°, low angle first:
- 2θ 19.4, I 13, hkl 1 1 0
- 2θ 27.8, I 41, hkl 1 3 0
- 2θ 31.5, I 16, hkl 0 2 2
- 2θ 33.6, I 15, hkl 2 0 -1
- 2θ 34.4, I 50, hkl 1 3 -2
- 2θ 39.3, I 83, hkl 2 2 0
- 2θ 39.9, I 100, hkl 1 5 0
- 2θ 40.2, I 57, hkl 0 4 2
- 2θ 44.4, I 17, hkl 2 4 -1
- 2θ 64.5, I 13, hkl 3 5 -2
- 2θ 70.7, I 15, hkl 4 0 -2
- 2θ 72.8, I 15, hkl 1 3 4

No. 4
Structure and calculated X-ray diffraction stick pattern of PmCu4 (a GGA-PBE-relaxed structure; CuKα).
Lines closer than 0.1° are merged.

Structural model:
Cell: 7.0801 5.8513 4.8298 Å, 90.00 124.17 90.00°
Space group C2/m (No. 12)
One atom of each set of equivalent atoms:
1 Pm 0.0000 0.0000 0.0000 x2
2 Cu 0.0000 0.2949 0.5000 x4
3 Cu 0.1900 0.5000 0.2522 x4

Principal peaks in the range 2θ from 10° to 80°, low angle first:
- 2θ 30.5, I 51, hkl 2 0 0
- 2θ 37.0, I 98, hkl 1 1 1
- 2θ 37.6, I 69, hkl 2 0 -2
- 2θ 38.1, I 62, hkl 0 2 1
- 2θ 40.3, I 100, hkl 2 2 -1
- 2θ 41.4, I 42, hkl 3 1 -1
- 2θ 41.7, I 19, hkl 1 1 -2
- 2θ 49.2, I 48, hkl 3 1 0
- 2θ 62.0, I 19, hkl 1 3 -2
- 2θ 63.6, I 20, hkl 0 4 0
- 2θ 67.9, I 22, hkl 3 3 0
- 2θ 71.2, I 21, hkl 4 2 -3

No. 5
Structure and calculated X-ray diffraction stick pattern of Tl2SiTe4Pb (a GGA-PBE-relaxed structure; CuKα).
Lines closer than 0.1° are merged.

Structural model:
Cell: 8.3467 9.5906 12.8218 Å, 90.00 90.00 90.00°
Space group Imma (No. 74)
One atom of each set of equivalent atoms:
1 Tl 0.0000 0.0000 0.0000 x4
2 Tl 0.2500 0.2500 0.2500 x4
3 Si 0.2500 0.2500 0.7500 x4
4 Te 0.0000 0.0455 0.7486 x8
5 Te 0.2495 0.2500 0.5219 x8
6 Pb 0.0000 0.0000 0.5000 x4

Principal peaks in the range 2θ from 10° to 80°, low angle first:
- 2θ 27.8, I 53, hkl 0 0 4
- 2θ 28.4, I 100, hkl 2 2 0
- 2θ 31.4, I 15, hkl 2 1 3
- 2θ 37.5, I 19, hkl 0 4 0
- 2θ 40.1, I 77, hkl 2 2 4
- 2θ 43.4, I 17, hkl 4 0 0
- 2θ 47.3, I 19, hkl 0 4 4
- 2θ 52.3, I 19, hkl 4 0 4
- 2θ 58.7, I 11, hkl 4 4 0
- 2θ 65.3, I 15, hkl 2 2 8
- 2θ 66.1, I 14, hkl 4 4 4
- 2θ 77.4, I 11, hkl 6 2 4

No. 6
Structure and calculated X-ray diffraction stick pattern of PrNi12B6 (a GGA-PBE-relaxed structure; CuKα).
Lines closer than 0.1° are merged.

Structural model:
Cell: 9.5966 7.4022 11.0633 Å, 90.00 90.00 90.00°
Space group Cmc2_1 (No. 36)
One atom of each set of equivalent atoms:
1 Pr 0.0000 0.1672 0.0000 x4
2 Ni 0.0000 0.2217 0.3994 x4
3 Ni 0.0000 0.4304 0.5833 x4
4 Ni 0.1323 0.3270 0.7645 x8
5 Ni 0.1321 0.3427 0.2245 x8
6 Ni 0.1327 0.0132 0.2438 x8
7 Ni 0.1823 0.1873 0.5622 x8
8 Ni 0.1911 0.4656 0.4320 x8
9 B 0.0000 0.1642 0.6645 x4
10 B 0.0000 0.4863 0.3394 x4
11 B 0.2061 0.1927 0.3776 x8
12 B 0.2141 0.4610 0.6138 x8

Principal peaks in the range 2θ from 10° to 80°, low angle first:
- 2θ 31.6, I 57, hkl 2 2 1
- 2θ 32.4, I 28, hkl 0 0 4
- 2θ 34.3, I 17, hkl 0 2 3
- 2θ 34.6, I 51, hkl 2 2 2
- 2θ 39.2, I 64, hkl 3 1 3
- 2θ 41.0, I 73, hkl 4 0 2
- 2θ 41.1, I 100, hkl 1 3 2
- 2θ 43.7, I 42, hkl 1 1 5
- 2θ 45.0, I 38, hkl 3 1 4
- 2θ 49.5, I 37, hkl 0 0 6
- 2θ 57.8, I 27, hkl 3 3 4
- 2θ 61.2, I 26, hkl 5 3 0

No. 7
Structure and calculated X-ray diffraction stick pattern of La6CeTl3 (a GGA-PBE-relaxed structure; CuKα).
Lines closer than 0.1° are merged.

Structural model:
Cell: 9.6904 5.6649 12.4404 Å, 90.00 110.23 90.00°
Space group P2_1/m (No. 11)
One atom of each set of equivalent atoms:
1 La 0.0253 0.2500 0.4125 x2
2 La 0.1399 0.7500 0.1747 x2
3 La 0.2520 0.2500 0.0082 x2
4 La 0.3597 0.7500 0.8006 x2
5 La 0.3655 0.2500 0.3516 x2
6 La 0.4232 0.2500 0.6188 x2
7 Ce 0.4356 0.7500 0.0481 x2
8 Tl 0.0528 0.7500 0.8817 x2
9 Tl 0.1501 0.2500 0.7223 x2
10 Tl 0.2641 0.7500 0.4716 x2

Principal peaks in the range 2θ from 10° to 80°, low angle first:
- 2θ 27.9, I 11, hkl 1 0 3
- 2θ 30.1, I 37, hkl 2 0 -4
- 2θ 31.6, I 57, hkl 0 2 0
- 2θ 32.0, I 100, hkl 3 1 -1
- 2θ 32.1, I 81, hkl 1 1 3
- 2θ 34.1, I 30, hkl 2 1 -4
- 2θ 44.2, I 26, hkl 2 2 -4
- 2θ 47.7, I 14, hkl 4 0 2
- 2θ 56.6, I 36, hkl 3 3 -1
- 2θ 58.3, I 15, hkl 4 2 2
- 2θ 65.0, I 9, hkl 4 1 -8
- 2θ 66.9, I 9, hkl 6 2 -2

No. 8
Structure and calculated X-ray diffraction stick pattern of KNd2GeO5 (a GGA-PBE-relaxed structure; CuKα).
Lines closer than 0.1° are merged.

Structural model:
Cell: 6.8812 6.8812 11.7122 Å, 90.00 90.00 90.00°
Space group I4/mcm (No. 140)
One atom of each set of equivalent atoms:
1 K 0.0000 0.0000 0.2500 x4
2 Nd 0.1786 0.3214 0.0000 x8
3 Ge 0.0000 0.5000 0.2500 x4
4 O 0.0000 0.0000 0.0000 x4
5 O 0.1363 0.3637 0.3714 x16

Principal peaks in the range 2θ from 10° to 80°, low angle first:
- 2θ 15.1, I 57, hkl 0 0 2
- 2θ 18.2, I 22, hkl 1 1 0
- 2θ 30.0, I 72, hkl 2 1 1
- 2θ 30.1, I 100, hkl 2 0 2
- 2θ 30.5, I 39, hkl 0 0 4
- 2θ 36.9, I 22, hkl 2 2 0
- 2θ 37.2, I 84, hkl 2 1 3
- 2θ 44.4, I 26, hkl 3 1 2
- 2θ 48.9, I 36, hkl 2 1 5
- 2θ 54.0, I 19, hkl 2 0 6
- 2θ 55.6, I 33, hkl 4 1 1
- 2θ 60.3, I 24, hkl 4 1 3

No. 9
Structure and calculated X-ray diffraction stick pattern of Sm8AlSb2 (a GGA-PBE-relaxed structure; CuKα).
Lines closer than 0.1° are merged.

Structural model:
Cell: 19.4631 5.1022 6.9545 Å, 90.00 102.03 90.00°
Space group C2/m (No. 12)
One atom of each set of equivalent atoms:
1 Sm 0.0167 0.0000 0.2705 x4
2 Sm 0.0917 0.5000 0.9820 x4
3 Sm 0.1586 0.5000 0.5176 x4
4 Sm 0.2160 0.0000 0.8364 x4
5 Al 0.0000 0.5000 0.5000 x2
6 Sb 0.1794 0.0000 0.2667 x4

Principal peaks in the range 2θ from 10° to 80°, low angle first:
- 2θ 27.4, I 36, hkl 3 1 1
- 2θ 28.5, I 18, hkl 6 0 -1
- 2θ 29.3, I 68, hkl 5 1 0
- 2θ 31.1, I 100, hkl 1 1 -2
- 2θ 32.3, I 24, hkl 3 1 -2
- 2θ 32.8, I 17, hkl 1 1 2
- 2θ 34.2, I 21, hkl 5 1 1
- 2θ 35.2, I 56, hkl 0 2 0
- 2θ 37.4, I 28, hkl 7 1 -1
- 2θ 42.9, I 20, hkl 2 0 3
- 2θ 56.6, I 17, hkl 2 2 3
- 2θ 60.6, I 20, hkl 1 3 -2

No. 10
Structure and calculated X-ray diffraction stick pattern of CdPb3 (a GGA-PBE-relaxed structure; CuKα).
Lines closer than 0.1° are merged.

Structural model:
Cell: 6.7508 10.1300 3.4892 Å, 90.00 90.00 90.00°
Space group Cmmm (No. 65)
One atom of each set of equivalent atoms:
1 Cd 0.0000 0.0000 0.0000 x2
2 Pb 0.0000 0.5000 0.0000 x2
3 Pb 0.2500 0.2500 0.5000 x4

Principal peaks in the range 2θ from 10° to 80°, low angle first:
- 2θ 31.1, I 100, hkl 0 2 1
- 2θ 31.9, I 94, hkl 2 2 0
- 2θ 35.4, I 36, hkl 0 4 0
- 2θ 37.1, I 63, hkl 2 0 1
- 2θ 52.2, I 48, hkl 2 4 1
- 2θ 52.4, I 12, hkl 0 0 2
- 2θ 61.0, I 15, hkl 0 6 1
- 2θ 61.4, I 15, hkl 2 6 0
- 2θ 62.7, I 28, hkl 2 2 2
- 2θ 64.0, I 26, hkl 4 2 1
- 2θ 64.9, I 13, hkl 0 4 2
- 2θ 66.6, I 12, hkl 4 4 0

No. 11
Structure and calculated X-ray diffraction stick pattern of TmCrFeGe3 (a GGA-PBE-relaxed structure; CuKα).
Lines closer than 0.1° are merged.

Structural model:
Cell: 5.6094 10.5382 7.4869 Å, 90.00 90.00 90.00°
Space group Cmcm (No. 63)
One atom of each set of equivalent atoms:
1 Tm 0.0000 0.2367 0.2500 x4
2 Cr 0.0000 0.0680 0.7500 x4
3 Fe 0.0000 0.4930 0.7500 x4
4 Ge 0.0000 0.2810 0.7500 x4
5 Ge 0.2487 0.5000 0.0000 x8

Principal peaks in the range 2θ from 10° to 80°, low angle first:
- 2θ 21.5, I 17, hkl 1 1 1
- 2θ 23.8, I 33, hkl 0 0 2
- 2θ 29.3, I 78, hkl 0 2 2
- 2θ 31.9, I 16, hkl 2 0 0
- 2θ 32.4, I 36, hkl 1 3 1
- 2θ 34.0, I 53, hkl 0 4 0
- 2θ 36.3, I 44, hkl 2 2 0
- 2θ 40.2, I 100, hkl 2 0 2
- 2θ 48.6, I 28, hkl 0 0 4
- 2θ 53.6, I 60, hkl 2 4 2
- 2θ 60.7, I 19, hkl 0 4 4
- 2θ 62.2, I 19, hkl 2 2 4

No. 12
Structure and calculated X-ray diffraction stick pattern of Tb4Sm2ErSc (a GGA-PBE-relaxed structure; CuKα).
Lines closer than 0.1° are merged.

Structural model:
Cell: 5.0045 5.0045 9.9661 Å, 90.00 90.00 90.00°
Space group P4/mmm (No. 123)
One atom of each set of equivalent atoms:
1 Tb 0.0000 0.5000 0.2459 x4
2 Sm 0.0000 0.0000 0.0000 x1
3 Sm 0.5000 0.5000 0.5000 x1
4 Er 0.0000 0.0000 0.5000 x1
5 Sc 0.5000 0.5000 0.0000 x1

Principal peaks in the range 2θ from 10° to 80°, low angle first:
- 2θ 17.7, I 3, hkl 1 0 0
- 2θ 25.2, I 3, hkl 1 1 0
- 2θ 26.7, I 2, hkl 1 1 1
- 2θ 31.0, I 100, hkl 1 1 2
- 2θ 35.9, I 34, hkl 2 0 0
- 2θ 36.0, I 17, hkl 0 0 4
- 2θ 51.7, I 12, hkl 2 2 0
- 2θ 51.8, I 24, hkl 2 0 4
- 2θ 61.5, I 28, hkl 3 1 2
- 2θ 61.7, I 14, hkl 1 1 6
- 2θ 64.6, I 12, hkl 2 2 4
- 2θ 76.1, I 4, hkl 4 0 0

No. 13
Structure and calculated X-ray diffraction stick pattern of BaSrTl3 (a GGA-PBE-relaxed structure; CuKα).
Lines closer than 0.1° are merged.

Structural model:
Cell: 6.6484 8.0177 7.1244 Å, 90.00 102.19 90.00°
Space group P2_1/m (No. 11)
One atom of each set of equivalent atoms:
1 Ba 0.1433 0.2500 0.2528 x2
2 Sr 0.4285 0.7500 0.1188 x2
3 Tl 0.0219 0.2500 0.7361 x2
4 Tl 0.3188 0.5579 0.6210 x4

Principal peaks in the range 2θ from 10° to 80°, low angle first:
- 2θ 12.7, I 82, hkl 0 0 1
- 2θ 25.6, I 64, hkl 0 0 2
- 2θ 26.1, I 57, hkl 1 2 0
- 2θ 27.7, I 54, hkl 2 0 -1
- 2θ 28.7, I 41, hkl 1 1 -2
- 2θ 29.7, I 51, hkl 2 1 0
- 2θ 30.4, I 77, hkl 1 2 1
- 2θ 31.6, I 80, hkl 1 0 2
- 2θ 33.5, I 41, hkl 2 0 -2
- 2θ 34.7, I 100, hkl 1 2 -2
- 2θ 35.6, I 41, hkl 2 2 0
- 2θ 36.3, I 39, hkl 1 3 0